Entry 1:
Structure and computed powder X-ray diffraction pattern of TlO2 (a GGA-PBE-relaxed structure; Cu Kα).

Structure:
```
TlO2
1.0
4.842 0.000 0.000
0.000 17.491 0.000
0.000 0.000 3.487
Tl O
6 12
direct
0.000 0.000 0.000
0.058 0.174 0.500
0.442 0.674 0.000
0.500 0.500 0.500
0.558 0.326 0.000
0.942 0.826 0.500
0.155 0.775 0.000
0.195 0.941 0.500
0.248 0.613 0.500
0.252 0.113 0.000
0.305 0.441 0.000
0.345 0.275 0.500
0.655 0.725 0.500
0.695 0.559 0.000
0.748 0.887 0.000
0.752 0.387 0.500
0.805 0.059 0.500
0.845 0.225 0.000
```

Main lines, in order of rising 2θ (2θ = 10–90°):
- d 4.666, 19.0°, I 100
- d 2.993, 29.9°, I 67
- d 2.915, 30.7°, I 29
- d 2.835, 31.6°, I 48
- d 2.692, 33.3°, I 52
- d 1.882, 48.4°, I 34

=====

Entry 2:
Structure and computed powder X-ray diffraction pattern of Tl4O3 (a GGA-PBE-relaxed structure; Cu Kα).

Structure:
```
Tl4O3
1.0
7.946 0.000 0.000
0.000 3.560 0.000
-3.792 0.000 10.688
Tl O
8 6
direct
0.069 0.250 0.392
0.195 0.750 0.161
0.265 0.250 0.863
0.416 0.750 0.624
0.584 0.250 0.376
0.735 0.750 0.137
0.805 0.250 0.839
0.931 0.750 0.608
0.025 0.750 0.819
0.138 0.250 0.608
0.262 0.750 0.400
0.738 0.250 0.600
0.862 0.750 0.392
0.975 0.250 0.181
```

Main lines, in order of rising 2θ (2θ = 10–90°):
- d 3.214, 27.8°, I 58
- d 3.163, 28.2°, I 55
- d 2.963, 30.2°, I 100
- d 2.672, 33.5°, I 43
- d 2.651, 33.8°, I 92
- d 1.893, 48.1°, I 31

=====

Entry 3:
Structure and computed powder X-ray diffraction pattern of Tl2O (a GGA-PBE-relaxed structure; Cu Kα).

Structure:
```
Tl2O
1.0
1.812 1.046 13.173
-1.812 1.046 13.173
0.000 -2.093 13.173
Tl O
4 2
direct
0.122 0.122 0.122
0.288 0.288 0.288
0.712 0.712 0.712
0.878 0.878 0.878
0.417 0.417 0.417
0.583 0.583 0.583
```

Main lines, in order of rising 2θ (2θ = 10–90°):
- d 3.293, 27.1°, I 58
- d 2.917, 30.6°, I 100
- d 2.743, 32.6°, I 87
- d 1.868, 48.7°, I 34
- d 1.812, 50.4°, I 41
- d 1.588, 58.1°, I 44

=====

Entry 4:
Structure and computed powder X-ray diffraction pattern of Tl2O (a GGA-PBE-relaxed structure; Cu Kα).

Structure:
```
Tl2O
1.0
3.137 -1.818 0.000
3.137 1.818 0.000
-2.063 0.000 13.009
Tl O
4 2
direct
0.126 0.126 0.365
0.284 0.284 0.867
0.716 0.716 0.133
0.874 0.874 0.635
0.424 0.424 0.249
0.576 0.576 0.751
```

Main lines, in order of rising 2θ (2θ = 10–90°):
- d 3.252, 27.4°, I 57
- d 3.102, 28.8°, I 28
- d 2.915, 30.7°, I 100
- d 2.741, 32.7°, I 59
- d 1.854, 49.1°, I 34
- d 1.586, 58.2°, I 29

=====

Entry 5:
Structure and computed powder X-ray diffraction pattern of UTl2O4 (a GGA-PBE-relaxed structure; Cu Kα).

Structure:
```
UTl2O4
1.0
-2.191 2.191 7.088
2.191 -2.191 7.088
2.191 2.191 -7.088
U Tl O
1 2 4
direct
0.000 0.000 0.000
0.346 0.346 0.000
0.654 0.654 0.000
0.000 0.500 0.500
0.137 0.137 0.000
0.500 0.000 0.500
0.863 0.863 0.000
```

Main lines, in order of rising 2θ (2θ = 10–90°):
- d 3.213, 27.8°, I 100
- d 3.099, 28.8°, I 52
- d 2.191, 41.2°, I 25
- d 1.879, 48.4°, I 21
- d 1.810, 50.4°, I 41
- d 1.607, 57.4°, I 15

=====

Entry 6:
Structure and computed powder X-ray diffraction pattern of YTlO2 (a GGA-PBE-relaxed structure; Cu Kα).

Structure:
```
YTlO2
1.0
1.756 1.014 6.501
-1.756 1.014 6.501
0.000 -2.028 6.501
Y Tl O
1 1 2
direct
0.000 0.000 0.000
0.500 0.500 0.500
0.276 0.276 0.276
0.724 0.724 0.724
```

Main lines, in order of rising 2θ (2θ = 10–90°):
- d 3.250, 27.4°, I 45
- d 2.904, 30.8°, I 91
- d 2.581, 34.8°, I 100
- d 1.902, 47.8°, I 36
- d 1.756, 52.1°, I 32
- d 1.545, 59.9°, I 32

=====

Entry 7:
Structure and computed powder X-ray diffraction pattern of TmO3 (a GGA-PBE-relaxed structure; Cu Kα).

Structure:
```
TmO3
1.0
6.394 0.000 0.000
-3.197 5.537 0.000
0.000 0.000 3.360
Tm O
2 6
direct
0.333 0.667 0.250
0.667 0.333 0.750
0.058 0.422 0.750
0.364 0.942 0.750
0.422 0.364 0.250
0.578 0.636 0.750
0.636 0.058 0.250
0.942 0.578 0.250
```

Main lines, in order of rising 2θ (2θ = 10–90°):
- d 5.537, 16.0°, I 100
- d 3.197, 27.9°, I 64
- d 2.873, 31.1°, I 80
- d 2.137, 42.3°, I 45
- d 1.846, 49.4°, I 21
- d 1.776, 51.4°, I 55

=====

Entry 8:
Structure and computed powder X-ray diffraction pattern of Tm2O3 (a GGA-PBE-relaxed structure; Cu Kα).

Structure:
```
Tm2O3
1.0
-5.238 5.238 5.238
5.238 -5.238 5.238
5.238 5.238 -5.238
Tm O
16 24
direct
0.000 0.000 0.000
0.000 0.500 0.500
0.033 0.783 0.250
0.217 0.750 0.967
0.250 0.033 0.783
0.250 0.533 0.283
0.283 0.250 0.533
0.467 0.717 0.750
0.500 0.000 0.500
0.500 0.500 0.000
0.533 0.283 0.250
0.717 0.750 0.467
0.750 0.467 0.717
0.750 0.967 0.217
0.783 0.250 0.033
0.967 0.217 0.750
0.011 0.468 0.739
0.032 0.043 0.271
0.043 0.271 0.032
0.228 0.457 0.489
0.229 0.272 0.761
0.239 0.771 0.728
0.261 0.989 0.532
0.271 0.032 0.043
0.272 0.761 0.229
0.457 0.489 0.228
0.468 0.739 0.011
0.489 0.228 0.457
0.511 0.772 0.543
0.532 0.261 0.989
0.543 0.511 0.772
0.728 0.239 0.771
0.729 0.968 0.957
0.739 0.011 0.468
0.761 0.229 0.272
0.771 0.728 0.239
0.772 0.543 0.511
0.957 0.729 0.968
0.968 0.957 0.729
0.989 0.532 0.261
```

Main lines, in order of rising 2θ (2θ = 10–90°):
- d 4.277, 20.8°, I 10
- d 3.024, 29.5°, I 100
- d 2.619, 34.2°, I 36
- d 2.054, 44.1°, I 9
- d 1.852, 49.2°, I 37
- d 1.579, 58.4°, I 31

=====

Entry 9:
Structure and computed powder X-ray diffraction pattern of Tm2O3 (a GGA-PBE-relaxed structure; Cu Kα).

Structure:
```
Tm2O3
1.0
6.936 -1.717 0.000
6.936 1.717 0.000
-1.532 0.000 8.370
Tm O
6 9
direct
0.032 0.032 0.314
0.308 0.308 0.363
0.365 0.365 0.013
0.635 0.635 0.987
0.692 0.692 0.637
0.968 0.968 0.686
0.128 0.128 0.781
0.174 0.174 0.469
0.207 0.207 0.123
0.470 0.470 0.843
0.500 0.500 0.500
0.530 0.530 0.157
0.793 0.793 0.877
0.826 0.826 0.531
0.872 0.872 0.219
```

Main lines, in order of rising 2θ (2θ = 10–90°):
- d 3.048, 29.3°, I 90
- d 2.977, 30.0°, I 97
- d 2.914, 30.7°, I 100
- d 2.790, 32.1°, I 65
- d 2.740, 32.7°, I 100
- d 2.663, 33.7°, I 99

=====

Entry 10:
Structure and computed powder X-ray diffraction pattern of TmO3 (a GGA-PBE-relaxed structure; Cu Kα).

Structure:
```
TmO3
1.0
0.000 2.759 2.759
2.759 0.000 2.759
2.759 2.759 0.000
Tm O
1 3
direct
0.000 0.000 0.000
0.250 0.250 0.250
0.500 0.500 0.500
0.750 0.750 0.750
```

Main lines, in order of rising 2θ (2θ = 10–90°):
- d 3.186, 28.0°, I 100
- d 2.759, 32.4°, I 52
- d 1.951, 46.5°, I 76
- d 1.664, 55.2°, I 48
- d 1.266, 75.0°, I 20
- d 1.127, 86.4°, I 24

=====

Entry 11:
Structure and computed powder X-ray diffraction pattern of Tm2O3 (a GGA-PBE-relaxed structure; Cu Kα).

Structure:
```
Tm2O3
1.0
3.609 0.000 0.000
-1.804 3.125 0.000
0.000 0.000 5.803
Tm O
2 3
direct
0.333 0.667 0.250
0.667 0.333 0.750
0.000 0.000 0.000
0.333 0.667 0.646
0.667 0.333 0.354
```

Main lines, in order of rising 2θ (2θ = 10–90°):
- d 3.125, 28.6°, I 27
- d 2.901, 30.8°, I 29
- d 2.752, 32.5°, I 100
- d 1.804, 50.6°, I 29
- d 1.645, 55.9°, I 27
- d 1.532, 60.4°, I 26

=====

Entry 12:
Structure and computed powder X-ray diffraction pattern of TmO2 (a GGA-PBE-relaxed structure; Cu Kα).

Structure:
```
TmO2
1.0
4.148 0.000 0.000
0.000 3.579 0.000
-1.832 0.000 5.783
Tm O
2 4
direct
0.170 0.250 0.314
0.830 0.750 0.686
0.184 0.750 0.054
0.267 0.750 0.548
0.733 0.250 0.452
0.816 0.250 0.946
```

Main lines, in order of rising 2θ (2θ = 10–90°):
- d 5.783, 15.3°, I 44
- d 3.851, 23.1°, I 48
- d 3.044, 29.3°, I 100
- d 2.885, 31.0°, I 61
- d 2.654, 33.8°, I 39
- d 2.622, 34.2°, I 47

=====

Entry 13:
Structure and computed powder X-ray diffraction pattern of YTmO3 (a GGA-PBE-relaxed structure; Cu Kα).

Structure:
```
YTmO3
1.0
6.384 0.000 0.000
-3.192 5.529 0.000
0.000 0.000 12.700
Y Tm O
6 6 18
direct
0.000 0.000 0.000
0.000 0.000 0.500
0.333 0.667 0.467
0.333 0.667 0.967
0.667 0.333 0.467
0.667 0.333 0.967
0.000 0.333 0.231
0.000 0.667 0.731
0.333 0.000 0.231
0.333 0.333 0.731
0.667 0.000 0.731
0.667 0.667 0.231
0.000 0.000 0.200
0.000 0.000 0.700
0.000 0.307 0.403
0.000 0.361 0.060
0.000 0.639 0.560
0.000 0.693 0.903
0.307 0.000 0.403
0.307 0.307 0.903
0.333 0.667 0.256
0.333 0.667 0.756
0.361 0.000 0.060
0.361 0.361 0.560
0.639 0.000 0.560
0.639 0.639 0.060
0.667 0.333 0.256
0.667 0.333 0.756
0.693 0.000 0.903
0.693 0.693 0.403
```

Main lines, in order of rising 2θ (2θ = 10–90°):
- d 3.175, 28.1°, I 45
- d 3.096, 28.8°, I 100
- d 2.852, 31.4°, I 69
- d 2.549, 35.2°, I 32
- d 1.843, 49.5°, I 40
- d 1.594, 57.9°, I 35